No. 1
Structure and computed powder X-ray diffraction pattern of ReMo3 (the PBE geometry in Alexandria; Cu Kα (weighted mean of Kα1 and Kα2)).

Structural model:
```
ReMo3
1.0
6.3057 0.0000 0.0000
0.0000 6.3057 0.0000
0.0000 0.0000 6.3057
Re Mo
4 12
Direct
0.0000 0.0000 0.0000
0.0000 0.5000 0.5000
0.5000 0.0000 0.5000
0.5000 0.5000 0.0000
0.0000 0.0000 0.5000
0.0000 0.5000 0.0000
0.2500 0.2500 0.2500
0.2500 0.2500 0.7500
0.2500 0.7500 0.2500
0.2500 0.7500 0.7500
0.5000 0.0000 0.0000
0.5000 0.5000 0.5000
0.7500 0.2500 0.2500
0.7500 0.2500 0.7500
0.7500 0.7500 0.2500
0.7500 0.7500 0.7500
```

Largest 10 diffraction maxima, by angle, 2θ = 10–80°:
d 3.641, 2θ = 24.45°, I = 8; d 3.153, 2θ = 28.31°, I = 4; d 2.229, 2θ = 40.46°, I = 100; d 1.901, 2θ = 47.84°, I = 4; d 1.820, 2θ = 50.11°, I = 1; d 1.576, 2θ = 58.55°, I = 17; d 1.447, 2θ = 64.40°, I = 2; d 1.410, 2θ = 66.29°, I = 2; d 1.287, 2θ = 73.59°, I = 34; d 1.214, 2θ = 78.88°, I = 1



No. 2
Structure and computed powder X-ray diffraction pattern of Re3Mo (the PBE geometry in Alexandria; Cu Kα (weighted mean of Kα1 and Kα2)).

Structural model:
```
Re3Mo
1.0
2.7218 0.0000 0.0000
0.0000 4.3296 0.0000
-1.2248 0.0000 5.1931
Re Mo
3 1
Direct
0.0000 0.0000 0.0000
0.3214 0.5000 0.7507
0.6786 0.5000 0.2493
0.5000 0.0000 0.5000
```

Largest 10 diffraction maxima, by angle, 2θ = 10–80°:
d 2.260, 2θ = 39.90°, I = 15; d 2.239, 2θ = 40.29°, I = 91; d 2.227, 2θ = 40.51°, I = 100; d 2.166, 2θ = 41.70°, I = 87; d 1.631, 2θ = 56.43°, I = 17; d 1.532, 2θ = 60.45°, I = 28; d 1.302, 2θ = 72.58°, I = 16; d 1.267, 2θ = 74.97°, I = 13; d 1.264, 2θ = 75.19°, I = 15; d 1.261, 2θ = 75.39°, I = 31



No. 3
Structure and computed powder X-ray diffraction pattern of ReMo3 (the PBE geometry in Alexandria; Cu Kα (weighted mean of Kα1 and Kα2)).

Structural model:
```
ReMo3
1.0
8.9195 0.0000 0.0000
-4.4597 7.7245 0.0000
0.0000 0.0000 2.7216
Re Mo
3 9
Direct
0.0000 0.0000 0.0000
0.3333 0.6667 0.6667
0.6667 0.3333 0.3333
0.0000 0.5000 0.0000
0.1667 0.3333 0.3333
0.1667 0.8333 0.3333
0.3333 0.1667 0.6667
0.5000 0.0000 0.0000
0.5000 0.5000 0.0000
0.6667 0.8333 0.3333
0.8333 0.1667 0.6667
0.8333 0.6667 0.6667
```

Largest 10 diffraction maxima, by angle, 2θ = 10–80°:
d 4.460, 2θ = 19.91°, I = 9; d 2.575, 2θ = 34.84°, I = 2; d 2.567, 2θ = 34.95°, I = 2; d 2.227, 2θ = 40.50°, I = 100; d 1.991, 2θ = 45.57°, I = 2; d 1.685, 2θ = 54.47°, I = 3; d 1.575, 2θ = 58.61°, I = 17; d 1.486, 2θ = 62.52°, I = 1; d 1.287, 2θ = 73.61°, I = 25; d 1.283, 2θ = 73.83°, I = 8



No. 4
Structure and computed powder X-ray diffraction pattern of Re13Mo2 (the PBE geometry in Alexandria; Cu Kα (weighted mean of Kα1 and Kα2)).

Structural model:
```
Re13Mo2
1.0
3.4925 2.0164 5.8357
-3.4925 2.0164 5.8357
0.0000 -4.0327 5.8357
Re Mo
13 2
Direct
0.0000 0.0000 0.0000
0.1575 0.1575 0.5351
0.1575 0.5351 0.1575
0.2966 0.2966 0.7008
0.2966 0.7008 0.2966
0.2992 0.7034 0.7034
0.4649 0.8425 0.8425
0.5351 0.1575 0.1575
0.7008 0.2966 0.2966
0.7034 0.2992 0.7034
0.7034 0.7034 0.2992
0.8425 0.4649 0.8425
0.8425 0.8425 0.4649
0.1557 0.1557 0.1557
0.8443 0.8443 0.8443
```

Largest 10 diffraction maxima, by angle, 2θ = 10–80°:
d 2.859, 2θ = 31.29°, I = 30; d 2.311, 2θ = 38.97°, I = 49; d 2.289, 2θ = 39.37°, I = 51; d 2.267, 2θ = 39.76°, I = 100; d 2.239, 2θ = 40.28°, I = 20; d 2.212, 2θ = 40.79°, I = 38; d 1.773, 2θ = 51.55°, I = 36; d 1.746, 2θ = 52.40°, I = 24; d 1.659, 2θ = 55.39°, I = 50; d 1.213, 2θ = 78.88°, I = 35



No. 5
Structure and computed powder X-ray diffraction pattern of Re2MoRu (the PBE geometry in Alexandria; Cu Kα (weighted mean of Kα1 and Kα2)).

Structural model:
```
Re2MoRu
1.0
2.7634 0.0000 0.0000
0.0000 8.9920 0.0000
0.0000 0.0000 4.8020
Re Mo Ru
4 2 2
Direct
0.0000 0.2432 0.0000
0.0000 0.7568 0.0000
0.5000 0.2568 0.5000
0.5000 0.7432 0.5000
0.0000 0.0000 0.3328
0.5000 0.5000 0.8328
0.0000 0.5000 0.3363
0.5000 0.0000 0.8363
```

Largest 10 diffraction maxima, by angle, 2θ = 10–80°:
d 4.496, 2θ = 19.75°, I = 12; d 2.397, 2θ = 37.52°, I = 30; d 2.248, 2θ = 40.11°, I = 26; d 2.115, 2θ = 42.75°, I = 100; d 1.640, 2θ = 56.09°, I = 18; d 1.385, 2θ = 67.64°, I = 11; d 1.382, 2θ = 67.83°, I = 6; d 1.324, 2θ = 71.24°, I = 2; d 1.271, 2θ = 74.70°, I = 19; d 1.200, 2θ = 79.91°, I = 1



No. 6
Structure and computed powder X-ray diffraction pattern of ZnRe2Mo2S8 (the PBE geometry in Alexandria; Cu Kα (weighted mean of Kα1 and Kα2)).

Structural model:
```
ZnRe2Mo2S8
1.0
-3.4245 3.4535 4.8678
3.4245 -3.4535 4.8678
3.4245 3.4535 -4.8678
Zn Re Mo S
1 2 2 8
Direct
0.0000 0.0000 0.0000
0.3932 0.1865 0.7933
0.3932 0.5999 0.2067
0.3932 0.5984 0.7948
0.8036 0.5984 0.2052
0.0948 0.3608 0.7340
0.1370 0.4094 0.2725
0.1370 0.8645 0.7275
0.1391 0.8620 0.2770
0.5850 0.8620 0.7230
0.6268 0.3608 0.2660
0.6297 0.3597 0.7300
0.6297 0.8997 0.2700
```

Largest 10 diffraction maxima, by angle, 2θ = 10–80°:
d 5.626, 2θ = 15.75°, I = 100; d 4.865, 2θ = 18.23°, I = 33; d 2.937, 2θ = 30.43°, I = 37; d 2.926, 2θ = 30.55°, I = 36; d 2.432, 2θ = 36.96°, I = 57; d 2.238, 2θ = 40.31°, I = 16; d 1.981, 2θ = 45.79°, I = 21; d 1.876, 2θ = 48.53°, I = 27; d 1.868, 2θ = 48.74°, I = 21; d 1.720, 2θ = 53.25°, I = 30



No. 7
Structure and computed powder X-ray diffraction pattern of Tl2ReSbMo (the PBE geometry in Alexandria; Cu Kα (weighted mean of Kα1 and Kα2)).

Structural model:
```
Tl2ReSbMo
1.0
5.4221 0.0000 0.0000
0.0000 5.4221 0.0000
0.0000 0.0000 5.1476
Tl Re Sb Mo
2 1 1 1
Direct
0.0000 0.5000 0.0000
0.5000 0.0000 0.0000
0.0000 0.0000 0.5000
0.5000 0.5000 0.5000
0.5000 0.5000 0.0000
```

Largest 10 diffraction maxima, by angle, 2θ = 10–80°:
d 3.733, 2θ = 23.84°, I = 12; d 3.075, 2θ = 29.04°, I = 100; d 2.711, 2θ = 33.04°, I = 63; d 2.574, 2θ = 34.86°, I = 27; d 1.917, 2θ = 47.42°, I = 23; d 1.867, 2θ = 48.79°, I = 43; d 1.627, 2θ = 56.58°, I = 32; d 1.566, 2θ = 58.98°, I = 14; d 1.537, 2θ = 60.19°, I = 23; d 1.213, 2θ = 78.95°, I = 23



No. 8
Structure and computed powder X-ray diffraction pattern of Sc2ReMo3 (the PBE geometry in Alexandria; Cu Kα (weighted mean of Kα1 and Kα2)).

Structural model:
```
Sc2ReMo3
1.0
9.2713 0.0000 0.0000
0.0000 5.3435 0.0000
-3.0726 0.0000 4.3686
Sc Re Mo
4 2 6
Direct
0.1257 0.0000 0.3741
0.3743 0.5000 0.6259
0.6257 0.5000 0.3741
0.8743 0.0000 0.6259
0.0000 0.5000 0.0000
0.5000 0.0000 0.0000
0.0000 0.5000 0.5000
0.2500 0.2500 0.0000
0.2500 0.7500 0.0000
0.5000 0.0000 0.5000
0.7500 0.2500 0.0000
0.7500 0.7500 0.0000
```

Largest 10 diffraction maxima, by angle, 2θ = 10–80°:
d 4.368, 2θ = 20.33°, I = 98; d 2.675, 2θ = 33.50°, I = 18; d 2.285, 2θ = 39.44°, I = 48; d 2.279, 2θ = 39.55°, I = 96; d 2.184, 2θ = 41.35°, I = 100; d 1.889, 2θ = 48.18°, I = 21; d 1.736, 2θ = 52.74°, I = 21; d 1.455, 2θ = 63.99°, I = 25; d 1.338, 2θ = 70.36°, I = 28; d 1.336, 2θ = 70.51°, I = 14



No. 9
Structure and computed powder X-ray diffraction pattern of ReMoSe4 (the PBE geometry in Alexandria; Cu Kα (weighted mean of Kα1 and Kα2)).

Structural model:
```
ReMoSe4
1.0
14.3766 0.0000 0.0000
0.0000 3.2446 0.0000
-1.1445 0.0000 5.8688
Re Mo Se
2 2 8
Direct
0.0000 0.0000 0.0000
0.5000 0.5000 0.0000
0.4918 0.0000 0.6067
0.9918 0.5000 0.6067
0.0964 0.0000 0.4153
0.1272 0.5000 0.9380
0.3645 0.5000 0.6691
0.3963 0.0000 0.1811
0.5964 0.5000 0.4153
0.6272 0.0000 0.9380
0.8645 0.0000 0.6691
0.8963 0.5000 0.1811
```

Largest 10 diffraction maxima, by angle, 2θ = 10–80°:
d 7.055, 2θ = 12.55°, I = 100; d 5.869, 2θ = 15.10°, I = 9; d 2.835, 2θ = 31.56°, I = 13; d 2.539, 2θ = 35.36°, I = 76; d 2.101, 2θ = 43.05°, I = 11; d 2.035, 2θ = 44.52°, I = 9; d 1.915, 2θ = 47.48°, I = 20; d 1.697, 2θ = 54.05°, I = 11; d 1.622, 2θ = 56.75°, I = 7; d 1.368, 2θ = 68.63°, I = 9



No. 10
Structure and computed powder X-ray diffraction pattern of TaReMo2 (the PBE geometry in Alexandria; Cu Kα (weighted mean of Kα1 and Kα2)).

Structural model:
```
TaReMo2
1.0
6.3627 0.0000 0.0000
0.0000 6.3627 0.0000
0.0000 0.0000 6.3627
Ta Re Mo
4 4 8
Direct
0.0000 0.0000 0.0000
0.0000 0.5000 0.5000
0.5000 0.0000 0.5000
0.5000 0.5000 0.0000
0.2500 0.2500 0.7500
0.2500 0.7500 0.2500
0.7500 0.2500 0.2500
0.7500 0.7500 0.7500
0.0000 0.0000 0.5000
0.0000 0.5000 0.0000
0.2500 0.2500 0.2500
0.2500 0.7500 0.7500
0.5000 0.0000 0.0000
0.5000 0.5000 0.5000
0.7500 0.2500 0.7500
0.7500 0.7500 0.2500
```

Largest 7 diffraction maxima, by angle, 2θ = 10–80°:
d 3.673, 2θ = 24.23°, I = 11; d 2.250, 2θ = 40.08°, I = 100; d 1.918, 2θ = 47.39°, I = 6; d 1.591, 2θ = 57.98°, I = 17; d 1.460, 2θ = 63.76°, I = 3; d 1.299, 2θ = 72.82°, I = 34; d 1.224, 2θ = 78.04°, I = 2



No. 11
Structure and computed powder X-ray diffraction pattern of Ta6Re5Mo (the PBE geometry in Alexandria; Cu Kα (weighted mean of Kα1 and Kα2)).

Structural model:
```
Ta6Re5Mo
1.0
2.2693 -6.8043 0.0000
2.2693 6.8043 0.0000
0.0000 0.0000 6.4020
Ta Re Mo
6 5 1
Direct
0.0000 0.0000 0.2503
0.0000 0.0000 0.7497
0.3333 0.6667 0.2501
0.3333 0.6667 0.7499
0.6667 0.3333 0.2501
0.6667 0.3333 0.7499
0.1672 0.8328 0.0000
0.1670 0.8330 0.5000
0.5000 0.5000 0.0000
0.8328 0.1672 0.0000
0.8330 0.1670 0.5000
0.5000 0.5000 0.5000
```

Largest 5 diffraction maxima, by angle, 2θ = 10–80°:
d 2.267, 2θ = 39.76°, I = 100; d 1.604, 2θ = 57.44°, I = 11; d 1.601, 2θ = 57.59°, I = 6; d 1.309, 2θ = 72.14°, I = 23; d 1.308, 2θ = 72.24°, I = 12



No. 12
Structure and computed powder X-ray diffraction pattern of Re2TcMo (the PBE geometry in Alexandria; Cu Kα (weighted mean of Kα1 and Kα2)).

Structural model:
```
Re2TcMo
1.0
2.7739 0.0000 0.0000
0.0000 3.9311 0.0000
0.0000 0.0000 5.5606
Re Tc Mo
2 1 1
Direct
0.0000 0.0000 0.0000
0.5000 0.5000 0.2443
0.0000 0.0000 0.4907
0.5000 0.5000 0.7424
```

Largest 10 diffraction maxima, by angle, 2θ = 10–80°:
d 5.561, 2θ = 15.94°, I = 11; d 3.210, 2θ = 27.79°, I = 5; d 2.482, 2θ = 36.19°, I = 3; d 2.268, 2θ = 39.74°, I = 100; d 2.099, 2θ = 43.10°, I = 4; d 1.964, 2θ = 46.22°, I = 49; d 1.853, 2θ = 49.16°, I = 2; d 1.541, 2θ = 60.03°, I = 2; d 1.389, 2θ = 67.40°, I = 26; d 1.387, 2θ = 67.54°, I = 5



No. 13
Structure and computed powder X-ray diffraction pattern of ReTe6Mo2 (the PBE geometry in Alexandria; Cu Kα (weighted mean of Kα1 and Kα2)).

Structural model:
```
ReTe6Mo2
1.0
6.2624 -6.0799 0.0000
6.2624 6.0799 0.0000
-1.4212 0.0000 6.2081
Re Te Mo
2 12 4
Direct
0.1148 0.8852 0.7500
0.8852 0.1148 0.2500
0.0374 0.1827 0.9417
0.1403 0.6122 0.5006
0.1827 0.0374 0.4417
0.3202 0.4619 0.0218
0.3878 0.8597 0.9994
0.4619 0.3202 0.5218
0.5381 0.6798 0.4782
0.6122 0.1403 0.0006
0.6798 0.5381 0.9782
0.8173 0.9626 0.5583
0.8597 0.3878 0.4994
0.9626 0.8173 0.0583
0.1693 0.3262 0.6462
0.3262 0.1693 0.1462
0.6738 0.8307 0.8538
0.8307 0.6738 0.3538
```

Largest 10 diffraction maxima, by angle, 2θ = 10–80°:
d 8.616, 2θ = 10.27°, I = 22; d 5.461, 2θ = 16.23°, I = 18; d 3.833, 2θ = 23.20°, I = 18; d 3.304, 2θ = 26.99°, I = 19; d 3.172, 2θ = 28.14°, I = 24; d 2.780, 2θ = 32.20°, I = 35; d 2.465, 2θ = 36.45°, I = 100; d 2.108, 2θ = 42.91°, I = 22; d 2.027, 2θ = 44.72°, I = 18; d 1.878, 2θ = 48.47°, I = 34



No. 14
Structure and computed powder X-ray diffraction pattern of Ti3ReMo (the PBE geometry in Alexandria; Cu Kα (weighted mean of Kα1 and Kα2)).

Structural model:
```
Ti3ReMo
1.0
4.5185 0.0000 0.0000
0.0000 4.5130 0.0000
-2.2358 0.0000 7.8284
Ti Re Mo
6 2 2
Direct
0.0595 0.2500 0.1192
0.2498 0.2500 0.4996
0.4397 0.2500 0.8795
0.5603 0.7500 0.1205
0.7502 0.7500 0.5004
0.9405 0.7500 0.8808
0.3508 0.7500 0.7004
0.6492 0.2500 0.2996
0.1451 0.7500 0.2913
0.8549 0.2500 0.7087
```

Largest 10 diffraction maxima, by angle, 2θ = 10–80°:
d 7.828, 2θ = 11.30°, I = 10; d 3.913, 2θ = 22.72°, I = 28; d 3.129, 2θ = 28.53°, I = 30; d 2.258, 2θ = 39.93°, I = 53; d 2.236, 2θ = 40.34°, I = 100; d 1.955, 2θ = 46.46°, I = 11; d 1.597, 2θ = 57.75°, I = 17; d 1.301, 2θ = 72.67°, I = 9; d 1.299, 2θ = 72.83°, I = 25; d 1.286, 2θ = 73.67°, I = 11



No. 15
Structure and computed powder X-ray diffraction pattern of TiRe2Mo6 (the PBE geometry in Alexandria; Cu Kα (weighted mean of Kα1 and Kα2)).

Structural model:
```
TiRe2Mo6
1.0
2.1933 1.2663 8.9574
-2.1933 1.2663 8.9574
0.0000 -2.5326 8.9574
Ti Re Mo
1 2 6
Direct
0.0000 0.0000 0.0000
0.1022 0.1022 0.1022
0.8978 0.8978 0.8978
0.1970 0.1970 0.1970
0.2980 0.2980 0.2980
0.4006 0.4006 0.4006
0.5994 0.5994 0.5994
0.7020 0.7020 0.7020
0.8030 0.8030 0.8030
```

Largest 10 diffraction maxima, by angle, 2θ = 10–80°:
d 4.479, 2θ = 19.82°, I = 7; d 3.762, 2θ = 23.65°, I = 8; d 3.307, 2θ = 26.96°, I = 14; d 2.194, 2θ = 41.15°, I = 100; d 1.970, 2θ = 46.08°, I = 5; d 1.828, 2θ = 49.89°, I = 3; d 1.713, 2θ = 53.49°, I = 3; d 1.551, 2θ = 59.61°, I = 16; d 1.404, 2θ = 66.60°, I = 2; d 1.266, 2θ = 74.99°, I = 33